(1)
For Ag3Pt, a GGA-PBE-relaxed structure gives the theoretical XRD peak list in this record (CuKα).

Principal peaks in the range 10° ≤ 2θ ≤ 80°, by intensity:
2θ = 37.84°, rel. 100.0; 2θ = 38.29°, rel. 96.8; 2θ = 44.61°, rel. 62.2; 2θ = 64.05°, rel. 41.0; 2θ = 43.47°, rel. 33.6; 2θ = 76.04°, rel. 12.4; 2θ = 76.33°, rel. 12.3; 2θ = 78.30°, rel. 11.9; 2θ = 77.34°, rel. 11.8; 2θ = 77.44°, rel. 11.8; 2θ = 78.19°, rel. 11.5; 2θ = 15.29°, rel. 11.2

Atomic structure:
```
4
Lattice="2.8485 0.0000 0.0000 0.0000 4.1636 0.0000 -0.0089 0.0000 5.7935" Properties=species:S:1:pos:R:3 pbc="T T T"
Ag 0.0000 0.0000 0.0000
Ag 1.4197 2.0818 1.4730
Ag 1.4198 2.0818 4.3205
Pt -0.0044 0.0000 2.8967
```

***

(2)
For Pm5Co2Te2, a GGA-PBE-relaxed structure gives the theoretical XRD peak list in this record (CuKα).

Principal peaks in the range 10° ≤ 2θ ≤ 80°, by intensity:
2θ = 34.05°, rel. 100.0; 2θ = 32.50°, rel. 93.4; 2θ = 36.51°, rel. 79.9; 2θ = 36.84°, rel. 75.1; 2θ = 38.30°, rel. 62.9; 2θ = 30.65°, rel. 61.8; 2θ = 32.00°, rel. 56.5; 2θ = 57.71°, rel. 53.8; 2θ = 32.29°, rel. 53.5; 2θ = 25.30°, rel. 52.8; 2θ = 32.18°, rel. 52.3; 2θ = 26.10°, rel. 43.5

Atomic structure:
```
18
Lattice="7.9360 -3.9428 0.0000 7.9360 3.9428 0.0000 0.0000 0.0000 7.7994" Properties=species:S:1:pos:R:3 pbc="T T T"
Pm 0.0000 0.0000 0.0000
Pm 6.0888 2.6668 5.1405
Pm 6.0888 1.2760 1.2408
Pm 9.7832 2.6668 5.1405
Pm 9.7832 1.2760 1.2408
Pm 7.9360 0.0000 3.8997
Pm 6.0888 -1.2760 6.5586
Pm 6.0888 -2.6668 2.6589
Pm 9.7832 -1.2760 6.5586
Pm 9.7832 -2.6668 2.6589
Co 7.9360 2.8855 2.8646
Co 7.9360 1.0572 6.7643
Co 7.9360 -1.0572 1.0351
Co 7.9360 -2.8855 4.9348
Te 3.3061 0.0000 0.0000
Te 4.6299 0.0000 3.8997
Te 11.2421 0.0000 3.8997
Te 12.5659 0.0000 0.0000
```

***

(3)
For InCo2Pt2, a GGA-PBE-relaxed structure gives the theoretical XRD peak list in this record (CuKα).

Principal peaks in the range 10° ≤ 2θ ≤ 80°, by intensity:
2θ = 42.22°, rel. 100.0; 2θ = 40.33°, rel. 63.3; 2θ = 38.59°, rel. 57.2; 2θ = 27.03°, rel. 46.5; 2θ = 51.05°, rel. 30.0; 2θ = 61.42°, rel. 27.2; 2θ = 34.38°, rel. 25.3; 2θ = 62.83°, rel. 25.0; 2θ = 73.63°, rel. 16.2; 2θ = 79.60°, rel. 13.5; 2θ = 66.49°, rel. 10.0; 2θ = 44.27°, rel. 9.8

Atomic structure:
```
10
Lattice="7.3771 0.0000 0.0000 0.0000 7.3771 0.0000 0.0000 0.0000 2.8125" Properties=species:S:1:pos:R:3 pbc="T T T"
In 0.0000 0.0000 0.0000
In 3.6886 3.6886 0.0000
Co 0.8444 2.8442 0.0000
Co 2.8442 6.5327 0.0000
Co 4.5330 0.8444 0.0000
Co 6.5327 4.5330 0.0000
Pt 1.3148 5.0033 1.4062
Pt 2.3738 1.3148 1.4062
Pt 5.0033 6.0624 1.4062
Pt 6.0624 2.3738 1.4062
```

***

(4)
For Pm4NdMg5, a GGA-PBE-relaxed structure gives the theoretical XRD peak list in this record (CuKα).

Principal peaks in the range 10° ≤ 2θ ≤ 80°, by intensity:
2θ = 32.72°, rel. 100.0; 2θ = 23.01°, rel. 39.6; 2θ = 58.46°, rel. 25.1; 2θ = 22.91°, rel. 20.0; 2θ = 40.37°, rel. 18.5; 2θ = 52.96°, rel. 16.9; 2θ = 58.31°, rel. 12.6; 2θ = 47.03°, rel. 12.1; 2θ = 78.20°, rel. 10.6; 2θ = 52.78°, rel. 8.5; 2θ = 68.53°, rel. 7.7; 2θ = 73.35°, rel. 6.5

Atomic structure:
```
10
Lattice="3.8644 0.0000 0.0000 0.0000 3.8644 0.0000 0.0000 0.0000 19.4086" Properties=species:S:1:pos:R:3 pbc="T T T"
Pm 0.0000 0.0000 1.9298
Pm 0.0000 0.0000 5.7918
Pm 0.0000 0.0000 13.6169
Pm 0.0000 0.0000 17.4789
Nd 0.0000 0.0000 9.7043
Mg 1.9322 1.9322 0.0000
Mg 1.9322 1.9322 3.8572
Mg 1.9322 1.9322 7.7262
Mg 1.9322 1.9322 11.6824
Mg 1.9322 1.9322 15.5514
```

***

Q: What is the formula in the second record?
A: Pm5Co2Te2

***

Q: Which formula does entry 2 have?
A: Pm5Co2Te2

***

Q: Number 4 is which compound?
A: Pm4NdMg5